Theoretical XRD peak list
Compound: TbPr4Tl3
Radiation: Cu Kα
Structure: a structure optimized by DFT (PBE)
Peak positions follow from Bragg's law for the DFT cell and can differ from measured ones.

Structural model:
```
8
Lattice="2.783 1.607 9.404 -2.783 1.607 9.404 0.000 -3.213 9.404" Properties=species:S:1:pos:R:3 pbc="T T T"
Tb 0.000 0.000 0.000
Pr 0.000 0.000 3.714
Pr 0.000 0.000 10.885
Pr 0.000 0.000 17.325
Pr 0.000 0.000 24.497
Tl 0.000 0.000 7.443
Tl 0.000 0.000 14.105
Tl 0.000 0.000 20.768
```

Most intense lines, 2θ = 10–90°, low angle first:
Position (°2θ)  intensity
28.88  9
31.43  84
32.16  100
43.49  12
45.59  30
56.89  31
57.35  20
59.30  10
67.29  12
76.15  13